Entry 1:
Hf4Re3Rh: simulated X-ray powder pattern (Cu Kα (λ = 1.5418 Å)), based on a GGA-PBE-relaxed structure.
No peak broadening, texture or thermal motion is included.

Cell and atoms:
```
Hf4Re3Rh
1.0
3.282 0.000 0.000
0.000 4.627 0.000
0.000 0.000 9.233
Hf Re Rh
4 3 1
direct
0.000 0.000 0.000 Hf
0.000 0.000 0.500 Hf
0.000 0.500 0.248 Hf
0.000 0.500 0.752 Hf
0.500 0.000 0.253 Re
0.500 0.000 0.747 Re
0.500 0.500 0.000 Re
0.500 0.500 0.500 Rh
```

Largest 11 diffraction maxima, in order of rising 2θ, 2θ from 15° to 90°:
- 19.20°, I 1
- 21.48°, I 1
- 38.90°, I 100
- 39.02°, I 20
- 56.04°, I 7
- 56.30°, I 14
- 70.36°, I 14
- 70.47°, I 14
- 70.60°, I 14
- 83.50°, I 11
- 83.82°, I 2

***

Entry 2:
Tl2CoCl6: simulated X-ray powder pattern (Cu Kα (λ = 1.5418 Å)), based on a GGA-PBE-relaxed structure.
No peak broadening, texture or thermal motion is included.

Cell and atoms:
```
Tl2CoCl6
1.0
6.604 0.000 0.000
0.000 6.604 0.000
0.000 0.000 12.026
Tl Co Cl
4 2 12
direct
0.000 0.000 0.157 Tl
0.000 0.000 0.843 Tl
0.500 0.500 0.343 Tl
0.500 0.500 0.657 Tl
0.000 0.000 0.500 Co
0.500 0.500 0.000 Co
0.171 0.171 0.366 Cl
0.171 0.171 0.634 Cl
0.241 0.759 0.500 Cl
0.259 0.259 0.000 Cl
0.329 0.671 0.134 Cl
0.329 0.671 0.866 Cl
0.671 0.329 0.134 Cl
0.671 0.329 0.866 Cl
0.741 0.741 0.000 Cl
0.759 0.241 0.500 Cl
0.829 0.829 0.366 Cl
0.829 0.829 0.634 Cl
```

Largest 12 diffraction maxima, in order of rising 2θ, 2θ from 15° to 90°:
- 15.31°, I 13
- 19.01°, I 100
- 26.00°, I 61
- 27.00°, I 16
- 31.18°, I 17
- 37.84°, I 67
- 38.56°, I 22
- 43.33°, I 16
- 47.10°, I 24
- 49.48°, I 16
- 55.13°, I 16
- 62.44°, I 15

***

Entry 3:
In23Se28: simulated X-ray powder pattern (Cu Kα (λ = 1.5418 Å)), based on a GGA-PBE-relaxed structure.
No peak broadening, texture or thermal motion is included.

Cell and atoms:
```
In23Se28
1.0
9.584 -4.104 0.000
9.584 4.104 0.000
-6.175 0.000 17.655
In Se
23 28
direct
0.000 0.000 0.000 In
0.067 0.568 0.731 In
0.107 0.107 0.414 In
0.112 0.613 0.070 In
0.136 0.136 0.649 In
0.191 0.693 0.554 In
0.225 0.724 0.789 In
0.228 0.228 0.143 In
0.264 0.264 0.472 In
0.335 0.835 0.209 In
0.442 0.943 0.880 In
0.501 0.501 0.002 In
0.568 0.067 0.731 In
0.604 0.604 0.415 In
0.613 0.112 0.070 In
0.636 0.636 0.648 In
0.693 0.191 0.554 In
0.724 0.225 0.789 In
0.724 0.724 0.137 In
0.762 0.762 0.472 In
0.835 0.335 0.209 In
0.893 0.893 0.331 In
0.943 0.442 0.880 In
0.023 0.023 0.510 Se
0.049 0.049 0.875 Se
0.070 0.578 0.195 Se
0.074 0.577 0.420 Se
0.154 0.652 0.945 Se
0.180 0.180 0.262 Se
0.254 0.254 0.786 Se
0.258 0.258 0.011 Se
0.280 0.784 0.329 Se
0.307 0.808 0.695 Se
0.360 0.859 0.072 Se
0.374 0.374 0.607 Se
0.456 0.957 0.600 Se
0.471 0.471 0.135 Se
0.523 0.523 0.512 Se
0.550 0.550 0.875 Se
0.577 0.074 0.420 Se
0.578 0.070 0.195 Se
0.652 0.154 0.945 Se
0.681 0.681 0.261 Se
0.753 0.753 0.785 Se
0.759 0.759 0.007 Se
0.784 0.280 0.329 Se
0.808 0.307 0.695 Se
0.859 0.360 0.072 Se
0.873 0.873 0.608 Se
0.957 0.456 0.600 Se
0.972 0.972 0.134 Se
```

Largest 12 diffraction maxima, in order of rising 2θ, 2θ from 15° to 90°:
- 23.82°, I 35
- 28.62°, I 53
- 29.93°, I 71
- 30.28°, I 49
- 30.94°, I 100
- 31.83°, I 43
- 32.69°, I 27
- 33.23°, I 80
- 37.61°, I 45
- 44.13°, I 79
- 45.81°, I 30
- 46.73°, I 31

***

Please write out number 1 again, unchanged.
Hf4Re3Rh: simulated X-ray powder pattern (Cu Kα (λ = 1.5418 Å)), based on a GGA-PBE-relaxed structure.
No peak broadening, texture or thermal motion is included.

Cell and atoms:
```
Hf4Re3Rh
1.0
3.282 0.000 0.000
0.000 4.627 0.000
0.000 0.000 9.233
Hf Re Rh
4 3 1
direct
0.000 0.000 0.000 Hf
0.000 0.000 0.500 Hf
0.000 0.500 0.248 Hf
0.000 0.500 0.752 Hf
0.500 0.000 0.253 Re
0.500 0.000 0.747 Re
0.500 0.500 0.000 Re
0.500 0.500 0.500 Rh
```

Largest 11 diffraction maxima, in order of rising 2θ, 2θ from 15° to 90°:
- 19.20°, I 1
- 21.48°, I 1
- 38.90°, I 100
- 39.02°, I 20
- 56.04°, I 7
- 56.30°, I 14
- 70.36°, I 14
- 70.47°, I 14
- 70.60°, I 14
- 83.50°, I 11
- 83.82°, I 2